The following is a simulated powder diffractogram of GePd3Pb. It was derived from a structure optimized by DFT (GGA-PBE), using Cu Kα X-rays.
Intensities are scaled so that the largest is 100.

Atomic structure:
Cell lengths 8.5834, 5.1438, 10.0215 Å; angles 90.00, 125.53, 90.00 degrees
Space group P2_1/c (No. 14)
Asymmetric unit:
1 Ge 0.2270 0.2499 0.1128 (multiplicity 4)
2 Pd 0.1226 0.7492 0.0605 (multiplicity 4)
3 Pd 0.1252 0.1430 0.8127 (multiplicity 4)
4 Pd 0.5001 0.0025 0.8431 (multiplicity 4)
5 Pb 0.2972 0.6357 0.8971 (multiplicity 4)

Principal peaks in the range 2θ = 15–90°, in order of rising 2θ:
- d 2.747, intensity 42, hkl 2 1 -3
- d 2.504, intensity 100, hkl 2 0 -4
- d 2.453, intensity 41, hkl 0 2 1
- d 2.414, intensity 17, hkl 1 2 0
- d 2.385, intensity 52, hkl 2 1 1
- d 2.017, intensity 23, hkl 1 2 -3
- d 1.956, intensity 21, hkl 2 1 2
- d 1.951, intensity 20, hkl 4 1 -2
- d 1.795, intensity 16, hkl 2 2 -4
- d 1.246, intensity 18, hkl 1 4 -2